The following is a theoretical PXRD pattern of CsLaMgNb2O7. It was derived from the PBE geometry in the Materials Project, using a wavelength of 1.5418 Å.
Peak positions follow from Bragg's law for the DFT cell and can differ from measured ones.

Crystal structure
a = 3.937 Å, b = 5.109 Å, c = 11.241 Å
α = 90.00°, β = 90.00°, γ = 90.00°
Space group Pmm2 (No. 25)
One atom of each set of equivalent atoms:
Cs: 0.000 0.000 0.000 x1
La: 0.000 0.000 0.499 x1
Mg: 0.000 0.500 0.500 x1
Nb: 0.500 0.500 0.295 x1
Nb: 0.500 0.500 0.705 x1
O: 0.000 0.500 0.331 x1
O: 0.000 0.500 0.669 x1
O: 0.500 0.000 0.363 x1
O: 0.500 0.000 0.636 x1
O: 0.500 0.500 0.137 x1
O: 0.500 0.500 0.500 x1
O: 0.500 0.500 0.863 x1

Top 10 peaks for 2θ from 10° to 90°, most intense first:
23.53°, I = 100.0, (0 1 2)
27.66°, I = 75.1, (1 0 2)
28.62°, I = 64.5, (1 1 0)
35.13°, I = 39.1, (0 2 0)
45.29°, I = 39.0, (1 2 2)
43.34°, I = 29.2, (1 1 4)
52.40°, I = 22.1, (2 1 2)
46.11°, I = 17.3, (2 0 0)
59.26°, I = 15.6, (2 2 0)
31.84°, I = 13.4, (0 0 4)

---

The following is a theoretical PXRD pattern of Zr5AlSn3. It was derived from the PBE geometry in the Materials Project, using a wavelength of 1.5418 Å.
Peak positions follow from Bragg's law for the DFT cell and can differ from measured ones.

Crystal structure
a = 8.7447 Å, b = 8.7447 Å, c = 5.9174 Å
α = 90.00°, β = 90.00°, γ = 120.00°
Space group P6_3/mcm (No. 193)
One atom of each set of equivalent atoms:
Zr: 0.0000 0.2697 0.2500 x6
Zr: 0.3333 0.6667 0.0000 x4
Al: 0.0000 0.0000 0.0000 x2
Sn: 0.0000 0.3862 0.7500 x6

Top 10 peaks for 2θ from 10° to 90°, most intense first:
36.67°, I = 100.0, (1 1 2)
35.56°, I = 88.2, (3 0 0)
34.82°, I = 84.9, (2 1 1)
45.84°, I = 28.7, (3 1 1)
52.01°, I = 23.1, (2 2 2)
30.21°, I = 21.3, (0 0 2)
56.67°, I = 20.8, (2 1 3)
74.32°, I = 20.5, (3 0 4)
67.31°, I = 17.6, (4 2 1)
64.60°, I = 13.5, (4 1 2)